Structure and theoretical powder diffractogram of LiCo2OF3 (a structure optimized by DFT (GGA+U); CuKα).

Cell lengths 6.1368, 6.1368, 6.1368 Å; angles 58.91, 58.91, 58.91 degrees
Element x y z (fractional)
Li (0.0000, 0.0000, 0.0000)
Li (0.3590, 0.3590, 0.3590)
Co (0.0016, 0.0016, 0.4883)
Co (0.0016, 0.4883, 0.0016)
Co (0.4883, 0.0016, 0.0016)
Co (0.6436, 0.6436, 0.6436)
O (0.2296, 0.2296, 0.2296)
O (0.7694, 0.7694, 0.7694)
F (0.2356, 0.2356, 0.7571)
F (0.2356, 0.7571, 0.2356)
F (0.2400, 0.7584, 0.7584)
F (0.7571, 0.2356, 0.2356)
F (0.7584, 0.2400, 0.7584)
F (0.7584, 0.7584, 0.2400)

Top 8 peaks for 10 to 90 degrees two-theta, most intense first:
2θ (°), d_spacing, Rel. int.
34.83, 2.576, 100
42.00, 2.151, 86
20.64, 4.303, 63
17.56, 5.051, 56
29.11, 3.068, 54
34.62, 2.591, 53
61.45, 1.509, 50
60.35, 1.534, 42